For SrBi4Pb, a structure optimized by DFT (PBE) gives the computed X-ray diffraction stick pattern in this record (Cu Kα X-rays).
No peak broadening, texture or thermal motion is included.

Principal peaks in the range 5 to 70 degrees two-theta, most intense first:
31.52 deg, d = 2.838 Å, I 100
32.97 deg, d = 2.717 Å, I 53
50.38 deg, d = 1.811 Å, I 37
55.20 deg, d = 1.664 Å, I 34
65.82 deg, d = 1.419 Å, I 23
16.31 deg, d = 5.434 Å, I 20
26.79 deg, d = 3.328 Å, I 17
64.97 deg, d = 1.435 Å, I 13
38.25 deg, d = 2.353 Å, I 11
47.31 deg, d = 1.921 Å, I 7

Cell and atoms:
Unit cell a=6.6557 b=6.6557 c=6.6557 alpha=60.00 beta=60.00 gamma=60.00
Positions (direct):
Sr (0.0000, 0.0000, 0.0000)
Bi (0.3756, 0.3756, 0.3756)
Bi (0.3756, 0.3756, 0.8731)
Bi (0.3756, 0.8731, 0.3756)
Bi (0.8731, 0.3756, 0.3756)
Pb (0.7500, 0.7500, 0.7500)